Record 1
Ce2NdGe: simulated X-ray powder pattern (Cu Kα X-rays), based on a structure optimized by DFT (PBE).

Principal peaks in the range 2θ from 10° to 90°, sorted by position:
d 3.102, I 24
d 3.052, I 24
d 2.853, I 100
d 2.836, I 88
d 2.812, I 18
d 2.775, I 82
d 2.541, I 76
d 2.521, I 77
d 2.194, I 46
d 2.163, I 57
d 1.706, I 39
d 1.541, I 30

Cell and atoms:
```
8
Lattice="4.3890 0.0000 0.0000 0.0000 4.3264 0.0000 -2.0581 0.0000 11.0988" Properties=species:S:1:pos:R:3 pbc="T T T"
Ce -0.2013 1.0816 1.3615
Ce -0.0765 1.0816 9.7552
Ce 2.4075 3.2448 1.3436
Ce 2.5323 3.2448 9.7373
Nd 0.0693 3.2448 6.7297
Nd 2.2617 1.0816 4.3691
Ge 0.1122 3.2448 3.6126
Ge 2.2188 1.0816 7.4862
```


Record 2
TbPm2HoTm2: simulated X-ray powder pattern (Cu Kα X-rays), based on a structure optimized by DFT (PBE).

Principal peaks in the range 2θ from 10° to 90°, sorted by position:
d 2.842, I 100
d 2.811, I 36
d 2.801, I 70
d 2.190, I 10
d 1.998, I 25
d 1.993, I 12
d 1.752, I 9
d 1.629, I 13
d 1.625, I 25
d 1.621, I 14
d 1.486, I 31
d 1.190, I 10

Cell and atoms:
```
12
Lattice="7.0086 0.0000 0.0000 0.0000 5.6223 0.0000 0.0000 0.0000 9.6912" Properties=species:S:1:pos:R:3 pbc="T T T"
Tb 0.0000 0.0000 0.0000
Tb 3.5043 0.0000 0.0000
Pm 1.7522 0.0000 3.1770
Pm 1.7522 2.8112 8.1371
Pm 5.2565 0.0000 6.5142
Pm 5.2565 2.8112 1.5541
Ho 1.7522 2.8112 1.7060
Ho 5.2565 2.8112 7.9852
Tm 0.0000 2.8112 4.8456
Tm 1.7522 0.0000 6.3914
Tm 3.5043 2.8112 4.8456
Tm 5.2565 0.0000 3.2998
```


Record 3
Pr8ZnS3Br4: simulated X-ray powder pattern (Cu Kα X-rays), based on a structure optimized by DFT (PBE).

Principal peaks in the range 2θ from 10° to 90°, sorted by position:
d 3.426, I 21
d 3.025, I 100
d 2.802, I 16
d 2.481, I 8
d 2.206, I 29
d 2.078, I 38
d 1.713, I 18
d 1.593, I 13
d 1.550, I 9
d 1.512, I 9
d 1.322, I 15
d 1.223, I 8

Cell and atoms:
```
16
Lattice="4.1563 2.3996 7.4421 -4.1563 2.3996 7.4421 0.0000 -4.7992 7.4421" Properties=species:S:1:pos:R:3 pbc="T T T"
Pr -2.1291 -1.2292 12.6985
Pr 0.0000 0.0000 5.1926
Pr 0.0000 -2.4584 9.6279
Pr -2.1291 1.2292 9.6279
Pr 2.1291 -1.2292 12.6985
Pr 0.0000 2.4584 12.6985
Pr 0.0000 0.0000 17.1338
Pr 2.1291 1.2292 9.6279
Zn 0.0000 0.0000 11.1632
S -4.1563 0.0000 11.1632
S -2.0781 1.1998 3.7211
S 2.0781 1.1998 3.7211
Br 0.0000 0.0000 0.0000
Br -2.0781 -1.1998 7.4421
Br -2.0781 1.1998 14.8843
Br 0.0000 2.3996 7.4421
```


Record 4
CoHg: simulated X-ray powder pattern (Cu Kα X-rays), based on a structure optimized by DFT (PBE).

Principal peaks in the range 2θ from 10° to 90°, sorted by position:
d 3.156, I 62
d 2.838, I 53
d 2.536, I 100
d 2.519, I 43
d 2.457, I 62
d 2.139, I 36
d 2.101, I 64
d 2.093, I 28
d 2.024, I 40
d 1.562, I 31
d 1.551, I 23
d 1.445, I 23

Cell and atoms:
```
6
Lattice="4.0485 0.0000 0.0000 0.0000 3.9805 3.2537 0.0000 -3.9805 3.2537" Properties=species:S:1:pos:R:3 pbc="T T T"
Co 0.0000 0.0000 0.0000
Co 2.0242 -2.7769 2.8398
Co 2.0242 2.7769 2.8398
Hg 0.0000 -1.5319 4.2755
Hg 0.0000 1.5319 4.2755
Hg 2.0242 0.0000 2.1533
```